Calculated powder diffractogram
Compound: Zr6BCl18O24
Radiation: copper Kα
Structure: the PBE geometry in the Materials Project

Most intense lines, 2θ = 10–90°, sorted by position:
2θ 12.66, I 560
2θ 17.94, I 164
2θ 23.81, I 690
2θ 32.65, I 1000
2θ 38.63, I 474
2θ 39.73, I 159
2θ 45.88, I 306
2θ 51.45, I 349
2θ 55.78, I 205
2θ 61.49, I 206

Structure:
abc: 12.111 12.111 12.111
angles: 109.47 109.47 109.47
Fractional positions:
Zr: 0.000 0.180 0.180
Zr: 0.000 0.820 0.820
Zr: 0.180 0.000 0.180
Zr: 0.180 0.180 0.000
Zr: 0.820 0.000 0.820
Zr: 0.820 0.820 0.000
B: 0.000 0.000 0.000
Cl: 0.000 0.182 0.818
Cl: 0.000 0.351 0.351
Cl: 0.000 0.649 0.649
Cl: 0.000 0.818 0.182
Cl: 0.182 0.000 0.818
Cl: 0.182 0.182 0.364
Cl: 0.182 0.364 0.182
Cl: 0.182 0.818 0.000
Cl: 0.351 0.000 0.351
Cl: 0.351 0.351 0.000
Cl: 0.364 0.182 0.182
Cl: 0.636 0.818 0.818
Cl: 0.649 0.000 0.649
Cl: 0.649 0.649 0.000
Cl: 0.818 0.000 0.182
Cl: 0.818 0.182 0.000
Cl: 0.818 0.636 0.818
Cl: 0.818 0.818 0.636
O: 0.000 0.303 0.608
O: 0.000 0.392 0.697
O: 0.000 0.608 0.303
O: 0.000 0.697 0.392
O: 0.303 0.000 0.608
O: 0.303 0.303 0.695
O: 0.303 0.608 0.000
O: 0.303 0.695 0.303
O: 0.305 0.608 0.608
O: 0.305 0.697 0.697
O: 0.392 0.000 0.697
O: 0.392 0.392 0.695
O: 0.392 0.695 0.392
O: 0.392 0.697 0.000
O: 0.608 0.000 0.303
O: 0.608 0.303 0.000
O: 0.608 0.305 0.608
O: 0.608 0.608 0.305
O: 0.695 0.303 0.303
O: 0.695 0.392 0.392
O: 0.697 0.000 0.392
O: 0.697 0.305 0.697
O: 0.697 0.392 0.000
O: 0.697 0.697 0.305